Record 1
For CsHg3OsSe4, a PBE-relaxed structure gives the simulated powder diffractogram in this record (Cu Kα (λ = 1.5418 Å)).
No peak broadening, texture or thermal motion is included.

Atomic structure:
```
data_CsHg3OsSe4
_space_group_name_H-M_alt 'P 1'
_space_group_IT_number 1
_cell_length_a 7.3676
_cell_length_b 7.3676
_cell_length_c 7.3676
_cell_angle_alpha 90.00
_cell_angle_beta 90.00
_cell_angle_gamma 90.00
loop_
_space_group_symop_operation_xyz
'x,y,z'
loop_
_atom_site_label
_atom_site_type_symbol
_atom_site_fract_x
_atom_site_fract_y
_atom_site_fract_z
Cs1 Cs 0.0000 0.0000 0.0000
Hg1 Hg 0.0000 0.5000 0.5000
Hg2 Hg 0.5000 0.0000 0.5000
Hg3 Hg 0.5000 0.5000 0.0000
Os1 Os 0.5000 0.5000 0.5000
Se1 Se 0.3191 0.3191 0.3191
Se2 Se 0.3191 0.6809 0.6809
Se3 Se 0.6809 0.3191 0.6809
Se4 Se 0.6809 0.6809 0.3191
```

Peak list (10 most intense, 2θ = 15–90°, in order of falling intensity)
(2 2 0), 34.4°, intensity 100
(1 1 1), 20.9°, intensity 69
(2 0 0), 24.2°, intensity 55
(3 1 1), 40.6°, intensity 42
(4 2 0), 55.8°, intensity 42
(4 2 2), 61.7°, intensity 29
(2 2 2), 42.5°, intensity 24
(6 0 0), 77.8°, intensity 22
(2 2 1), 36.6°, intensity 20
(3 2 0), 44.3°, intensity 19


Record 2
For CsHg3PbSe4, a PBE-relaxed structure gives the simulated powder diffractogram in this record (Cu Kα (λ = 1.5418 Å)).
No peak broadening, texture or thermal motion is included.

Atomic structure:
```
data_CsHg3PbSe4
_space_group_name_H-M_alt 'P 1'
_space_group_IT_number 1
_cell_length_a 7.0776
_cell_length_b 7.0776
_cell_length_c 7.0776
_cell_angle_alpha 90.00
_cell_angle_beta 90.00
_cell_angle_gamma 90.00
loop_
_space_group_symop_operation_xyz
'x,y,z'
loop_
_atom_site_label
_atom_site_type_symbol
_atom_site_fract_x
_atom_site_fract_y
_atom_site_fract_z
Cs1 Cs 0.0000 0.0000 0.0000
Hg1 Hg 0.0000 0.5000 0.5000
Hg2 Hg 0.5000 0.0000 0.5000
Hg3 Hg 0.5000 0.5000 0.0000
Pb1 Pb 0.5000 0.5000 0.5000
Se1 Se 0.2702 0.2702 0.2702
Se2 Se 0.2702 0.7298 0.7298
Se3 Se 0.7298 0.2702 0.7298
Se4 Se 0.7298 0.7298 0.2702
```

Peak list (10 most intense, 2θ = 15–90°, in order of falling intensity)
(2 2 0), 35.9°, intensity 100
(1 1 1), 21.7°, intensity 58
(4 2 2), 64.5°, intensity 35
(2 0 0), 25.2°, intensity 31
(3 1 1), 42.4°, intensity 30
(4 0 0), 51.7°, intensity 17
(6 2 0), 87.1°, intensity 15
(4 2 0), 58.3°, intensity 15
(2 1 0), 28.2°, intensity 13
(3 3 1), 56.7°, intensity 12


Record 3
For CsHg3Te4Pb, a PBE-relaxed structure gives the simulated powder diffractogram in this record (Cu Kα (λ = 1.5418 Å)).
No peak broadening, texture or thermal motion is included.

Atomic structure:
```
data_CsHg3Te4Pb
_space_group_name_H-M_alt 'P 1'
_space_group_IT_number 1
_cell_length_a 7.4634
_cell_length_b 7.4634
_cell_length_c 7.4634
_cell_angle_alpha 90.00
_cell_angle_beta 90.00
_cell_angle_gamma 90.00
loop_
_space_group_symop_operation_xyz
'x,y,z'
loop_
_atom_site_label
_atom_site_type_symbol
_atom_site_fract_x
_atom_site_fract_y
_atom_site_fract_z
Cs1 Cs 0.0000 0.0000 0.0000
Hg1 Hg 0.0000 0.5000 0.5000
Hg2 Hg 0.5000 0.0000 0.5000
Hg3 Hg 0.5000 0.5000 0.0000
Te1 Te 0.2711 0.2711 0.2711
Te2 Te 0.2711 0.7289 0.7289
Te3 Te 0.7289 0.2711 0.7289
Te4 Te 0.7289 0.7289 0.2711
Pb1 Pb 0.5000 0.5000 0.5000
```

Peak list (10 most intense, 2θ = 15–90°, in order of falling intensity)
(2 2 0), 34.0°, intensity 100
(1 1 1), 20.6°, intensity 61
(4 2 2), 60.8°, intensity 34
(3 1 1), 40.1°, intensity 31
(4 0 0), 48.8°, intensity 17
(6 2 0), 81.6°, intensity 14
(2 0 0), 23.8°, intensity 13
(3 3 1), 53.5°, intensity 12
(3 2 0), 43.7°, intensity 11
(4 4 0), 71.5°, intensity 10


Record 4
For CsHg3PdSe4, a PBE-relaxed structure gives the simulated powder diffractogram in this record (Cu Kα (λ = 1.5418 Å)).
No peak broadening, texture or thermal motion is included.

Atomic structure:
```
data_CsHg3PdSe4
_space_group_name_H-M_alt 'P 1'
_space_group_IT_number 1
_cell_length_a 6.8878
_cell_length_b 6.8878
_cell_length_c 6.8878
_cell_angle_alpha 90.00
_cell_angle_beta 90.00
_cell_angle_gamma 90.00
loop_
_space_group_symop_operation_xyz
'x,y,z'
loop_
_atom_site_label
_atom_site_type_symbol
_atom_site_fract_x
_atom_site_fract_y
_atom_site_fract_z
Cs1 Cs 0.0000 0.0000 0.0000
Hg1 Hg 0.0000 0.5000 0.5000
Hg2 Hg 0.5000 0.0000 0.5000
Hg3 Hg 0.5000 0.5000 0.0000
Pd1 Pd 0.5000 0.5000 0.5000
Se1 Se 0.2903 0.2903 0.2903
Se2 Se 0.2903 0.7097 0.7097
Se3 Se 0.7097 0.2903 0.7097
Se4 Se 0.7097 0.7097 0.2903
```

Peak list (10 most intense, 2θ = 15–90°, in order of falling intensity)
(2 2 0), 36.9°, intensity 100
(1 1 1), 22.4°, intensity 94
(3 1 1), 43.6°, intensity 49
(2 0 0), 25.9°, intensity 33
(4 2 2), 66.5°, intensity 29
(4 2 0), 60.1°, intensity 20
(3 3 1), 58.4°, intensity 17
(5 3 1), 82.9°, intensity 16
(4 0 0), 53.2°, intensity 15
(3 3 3), 71.1°, intensity 14


Record 5
For Cs2RbHg2, a PBE-relaxed structure gives the simulated powder diffractogram in this record (Cu Kα (λ = 1.5418 Å)).
No peak broadening, texture or thermal motion is included.

Atomic structure:
```
data_Cs2RbHg2
_space_group_name_H-M_alt 'P 1'
_space_group_IT_number 1
_cell_length_a 9.8980
_cell_length_b 9.8980
_cell_length_c 5.6237
_cell_angle_alpha 90.00
_cell_angle_beta 90.00
_cell_angle_gamma 90.00
loop_
_space_group_symop_operation_xyz
'x,y,z'
loop_
_atom_site_label
_atom_site_type_symbol
_atom_site_fract_x
_atom_site_fract_y
_atom_site_fract_z
Cs1 Cs 0.1705 0.3295 0.0000
Cs2 Cs 0.3295 0.8295 0.0000
Cs3 Cs 0.6705 0.1705 0.0000
Cs4 Cs 0.8295 0.6705 0.0000
Rb1 Rb 0.0000 0.0000 0.5000
Rb2 Rb 0.5000 0.5000 0.5000
Hg1 Hg 0.1130 0.6130 0.5000
Hg2 Hg 0.3870 0.1130 0.5000
Hg3 Hg 0.6130 0.8870 0.5000
Hg4 Hg 0.8870 0.3870 0.5000
```

Peak list (10 most intense, 2θ = 15–90°, in order of falling intensity)
(2 1 1), 25.6°, intensity 100
(3 1 0), 28.5°, intensity 26
(2 0 1), 24.0°, intensity 24
(3 2 1), 36.4°, intensity 20
(0 0 2), 31.8°, intensity 20
(3 1 2), 43.3°, intensity 17
(3 2 0), 32.6°, intensity 16
(5 1 1), 49.7°, intensity 16
(2 1 3), 53.1°, intensity 14
(3 2 2), 46.2°, intensity 13


Record 6
For CsRbTmHgSb2, a PBE-relaxed structure gives the simulated powder diffractogram in this record (Cu Kα (λ = 1.5418 Å)).
No peak broadening, texture or thermal motion is included.

Atomic structure:
```
data_CsRbTmHgSb2
_space_group_name_H-M_alt 'P 1'
_space_group_IT_number 1
_cell_length_a 5.0553
_cell_length_b 5.0553
_cell_length_c 11.8086
_cell_angle_alpha 90.00
_cell_angle_beta 90.00
_cell_angle_gamma 120.00
loop_
_space_group_symop_operation_xyz
'x,y,z'
loop_
_atom_site_label
_atom_site_type_symbol
_atom_site_fract_x
_atom_site_fract_y
_atom_site_fract_z
Cs1 Cs 0.0000 0.0000 0.0000
Rb1 Rb 0.0000 0.0000 0.5295
Tm1 Tm 0.3333 0.6667 0.2693
Hg1 Hg 0.6667 0.3333 0.7535
Sb1 Sb 0.3333 0.6667 0.7543
Sb2 Sb 0.6667 0.3333 0.2748
```

Peak list (10 most intense, 2θ = 15–90°, in order of falling intensity)
(1 0 2), 25.3°, intensity 100
(1 1 0), 35.5°, intensity 53
(1 1 4), 47.3°, intensity 44
(0 0 2), 15.0°, intensity 32
(0 0 4), 30.3°, intensity 25
(0 2 2), 44.1°, intensity 22
(2 1 2), 57.9°, intensity 20
(1 1 2), 38.8°, intensity 19
(3 0 4), 72.2°, intensity 12
(1 0 6), 50.9°, intensity 12


Record 7
For Cs6HgS4, a PBE-relaxed structure gives the simulated powder diffractogram in this record (Cu Kα (λ = 1.5418 Å)).
No peak broadening, texture or thermal motion is included.

Atomic structure:
```
data_Cs6HgS4
_space_group_name_H-M_alt 'P 1'
_space_group_IT_number 1
_cell_length_a 10.8746
_cell_length_b 10.8746
_cell_length_c 8.4695
_cell_angle_alpha 90.00
_cell_angle_beta 90.00
_cell_angle_gamma 120.00
loop_
_space_group_symop_operation_xyz
'x,y,z'
loop_
_atom_site_label
_atom_site_type_symbol
_atom_site_fract_x
_atom_site_fract_y
_atom_site_fract_z
Cs1 Cs 0.0617 0.5308 0.0000
Cs2 Cs 0.1474 0.2948 0.3266
Cs3 Cs 0.1474 0.8526 0.3266
Cs4 Cs 0.2948 0.1474 0.8266
Cs5 Cs 0.4692 0.5308 0.0000
Cs6 Cs 0.4692 0.9383 0.0000
Cs7 Cs 0.5308 0.0617 0.5000
Cs8 Cs 0.5308 0.4692 0.5000
Cs9 Cs 0.7052 0.8526 0.3266
Cs10 Cs 0.8526 0.1474 0.8266
Cs11 Cs 0.8526 0.7052 0.8266
Cs12 Cs 0.9383 0.4692 0.5000
Hg1 Hg 0.3333 0.6667 0.6174
Hg2 Hg 0.6667 0.3333 0.1174
S1 S 0.1976 0.3951 0.7134
S2 S 0.1976 0.8024 0.7134
S3 S 0.3333 0.6667 0.2991
S4 S 0.3951 0.1976 0.2134
S5 S 0.6049 0.8024 0.7134
S6 S 0.6667 0.3333 0.7991
S7 S 0.8024 0.1976 0.2134
S8 S 0.8024 0.6049 0.2134
```

Peak list (10 most intense, 2θ = 15–90°, in order of falling intensity)
(2 1 1), 27.2°, intensity 100
(2 2 0), 32.9°, intensity 79
(2 0 2), 28.3°, intensity 71
(2 0 1), 21.6°, intensity 50
(1 0 2), 23.0°, intensity 36
(1 0 3), 33.1°, intensity 25
(3 2 2), 47.2°, intensity 25
(5 0 1), 49.6°, intensity 24
(1 1 2), 26.7°, intensity 23
(3 2 3), 53.4°, intensity 22


Record 8
For Cs2Sn3HgS8, a PBE-relaxed structure gives the simulated powder diffractogram in this record (Cu Kα (λ = 1.5418 Å)).
No peak broadening, texture or thermal motion is included.

Atomic structure:
```
data_Cs2Sn3HgS8
_space_group_name_H-M_alt 'P 1'
_space_group_IT_number 1
_cell_length_a 7.8480
_cell_length_b 12.8411
_cell_length_c 18.1974
_cell_angle_alpha 90.00
_cell_angle_beta 90.00
_cell_angle_gamma 90.00
loop_
_space_group_symop_operation_xyz
'x,y,z'
loop_
_atom_site_label
_atom_site_type_symbol
_atom_site_fract_x
_atom_site_fract_y
_atom_site_fract_z
Cs1 Cs 0.2344 0.1938 0.1617
Cs2 Cs 0.2454 0.1395 0.5546
Cs3 Cs 0.2546 0.8605 0.0546
Cs4 Cs 0.2656 0.8062 0.6617
Cs5 Cs 0.7344 0.3062 0.8383
Cs6 Cs 0.7454 0.3605 0.4454
Cs7 Cs 0.7546 0.6395 0.9454
Cs8 Cs 0.7656 0.6938 0.3383
Sn1 Sn 0.0176 0.4800 0.6517
Sn2 Sn 0.2300 0.4303 0.9839
Sn3 Sn 0.2331 0.4526 0.3207
Sn4 Sn 0.2669 0.5474 0.8207
Sn5 Sn 0.2700 0.5697 0.4839
Sn6 Sn 0.4824 0.5200 0.1517
Sn7 Sn 0.5176 0.0200 0.3483
Sn8 Sn 0.7300 0.0697 0.0161
Sn9 Sn 0.7331 0.0474 0.6793
Sn10 Sn 0.7669 0.9526 0.1793
Sn11 Sn 0.7700 0.9303 0.5161
Sn12 Sn 0.9824 0.9800 0.8483
Hg1 Hg 0.0268 0.9973 0.3502
Hg2 Hg 0.4732 0.0027 0.8502
Hg3 Hg 0.5268 0.5027 0.6498
Hg4 Hg 0.9732 0.4973 0.1498
S1 S 0.0008 0.5961 0.7606
S2 S 0.0085 0.6099 0.5509
S3 S 0.0225 0.8859 0.2298
S4 S 0.0297 0.8736 0.4628
S5 S 0.2268 0.8698 0.8550
S6 S 0.2316 0.6233 0.1576
S7 S 0.2347 0.6155 0.9477
S8 S 0.2371 0.6369 0.3583
S9 S 0.2629 0.3631 0.8583
S10 S 0.2653 0.3845 0.4477
S11 S 0.2684 0.3767 0.6576
S12 S 0.2732 0.1302 0.3550
S13 S 0.4703 0.1264 0.9628
S14 S 0.4775 0.1141 0.7298
S15 S 0.4915 0.3901 0.0509
S16 S 0.4992 0.4039 0.2606
S17 S 0.5008 0.9039 0.2394
S18 S 0.5085 0.8901 0.4491
S19 S 0.5225 0.6141 0.7702
S20 S 0.5297 0.6264 0.5372
S21 S 0.7268 0.6302 0.1450
S22 S 0.7316 0.8767 0.8424
S23 S 0.7347 0.8845 0.0523
S24 S 0.7371 0.8631 0.6417
S25 S 0.7629 0.1369 0.1417
S26 S 0.7653 0.1155 0.5523
S27 S 0.7684 0.1233 0.3424
S28 S 0.7732 0.3698 0.6450
S29 S 0.9703 0.3736 0.0372
S30 S 0.9775 0.3859 0.2702
S31 S 0.9915 0.1099 0.9491
S32 S 0.9992 0.0961 0.7394
```

Peak list (10 most intense, 2θ = 15–90°, in order of falling intensity)
(2 1 2), 25.7°, intensity 100
(2 1 8), 46.7°, intensity 43
(0 3 2), 23.0°, intensity 38
(1 2 3), 23.1°, intensity 34
(0 2 5), 28.2°, intensity 31
(1 2 2), 20.4°, intensity 31
(0 0 6), 29.5°, intensity 29
(1 1 5), 27.9°, intensity 27
(0 3 3), 25.5°, intensity 23
(2 2 4), 33.2°, intensity 23